Structure and simulated powder X-ray diffraction pattern of NaV4O7 (a PBE+U-relaxed structure; a wavelength of 1.5418 Å).
Kinematic intensities with the Lorentz-polarization factor, no thermal factor.

The 10 most intense peaks (10° ≤ 2θ ≤ 80°), sorted by position:
two_theta  I/Imax  index
12.54  77.6  2 0 0
16.72  39.1  1 1 0
17.58  100.0  1 0 1
24.49  20.6  3 1 0
25.96  59.1  2 1 1
29.74  39.5  4 1 0
31.26  29.9  0 2 0
33.17  31.5  0 0 2
34.15  44.1  4 1 1
54.69  23.0  4 3 0

Structure:
```
24
Lattice="14.118 0.000 0.000 0.000 5.723 0.000 0.000 0.000 5.402" Properties=species:S:1:pos:R:3 pbc="T T T"
Na 0.000 1.015 0.000
Na 7.059 4.708 2.701
V 1.693 3.886 1.134
V 3.466 1.011 1.096
V 3.593 4.712 3.797
V 5.366 1.837 3.835
V 8.753 1.837 3.835
V 10.525 4.712 3.797
V 10.653 1.011 1.096
V 12.425 3.886 1.134
O 0.000 4.533 0.740
O 1.926 2.078 0.774
O 2.057 4.135 2.910
O 3.002 5.018 0.238
O 4.057 0.705 2.939
O 5.002 1.588 0.209
O 5.133 3.645 3.475
O 7.059 1.190 3.441
O 8.986 3.645 3.475
O 9.116 1.588 0.209
O 10.061 0.705 2.939
O 11.116 5.018 0.238
O 12.062 4.135 2.910
O 12.192 2.078 0.774
```